No. 1
Starting from DFT lattice parameters and positions (PBE), the X-ray diffraction stick pattern of Ba4CaCu2CO9 was computed for Cu Kα (weighted mean of Kα1 and Kα2).
No peak broadening, texture or thermal motion is included.

Unit cell a=8.297 b=5.842 c=5.842 alpha=88.17 beta=90.00 gamma=90.00
Fractional positions:
Ba: 0.233 0.248 0.752
Ba: 0.233 0.752 0.248
Ba: 0.767 0.248 0.752
Ba: 0.767 0.752 0.248
Ca: 0.000 0.746 0.746
Cu: 0.000 0.249 0.249
Cu: 0.500 0.733 0.733
C: 0.500 0.228 0.228
O: 0.000 0.023 0.475
O: 0.000 0.025 0.025
O: 0.000 0.472 0.472
O: 0.000 0.475 0.023
O: 0.281 0.736 0.736
O: 0.363 0.303 0.303
O: 0.500 0.072 0.072
O: 0.637 0.303 0.303
O: 0.719 0.736 0.736

Most intense lines, 2θ from 15° to 90°, in order of rising 2θ:
2θ = 21.2°, I 195
2θ = 21.4°, I 174
2θ = 30.3°, I 912
2θ = 30.6°, I 1000
2θ = 30.8°, I 947
2θ = 37.7°, I 428
2θ = 43.1°, I 248
2θ = 43.6°, I 205
2θ = 44.6°, I 270
2θ = 53.9°, I 349
2θ = 54.2°, I 283
2θ = 54.9°, I 331

---

No. 2
Starting from DFT lattice parameters and positions (PBE), the X-ray diffraction stick pattern of Nd2Sm5 was computed for Cu Kα (weighted mean of Kα1 and Kα2).
No peak broadening, texture or thermal motion is included.

Unit cell a=9.606 b=6.055 c=9.273 alpha=90.00 beta=117.65 gamma=90.00
Fractional positions:
Nd: 0.214 0.000 0.143
Nd: 0.286 0.500 0.857
Nd: 0.714 0.500 0.143
Nd: 0.786 0.000 0.857
Sm: 0.000 0.500 0.000
Sm: 0.071 0.000 0.712
Sm: 0.142 0.500 0.427
Sm: 0.358 0.000 0.573
Sm: 0.429 0.500 0.288
Sm: 0.500 0.000 0.000
Sm: 0.571 0.500 0.712
Sm: 0.642 0.000 0.427
Sm: 0.858 0.500 0.573
Sm: 0.929 0.000 0.288

Most intense lines, 2θ from 15° to 90°, in order of rising 2θ:
2θ = 29.5°, I 612
2θ = 31.9°, I 1000
2θ = 42.2°, I 232
2θ = 49.0°, I 75
2θ = 53.8°, I 455
2θ = 58.2°, I 135
2θ = 66.5°, I 60
2θ = 66.6°, I 60
2θ = 69.4°, I 106
2θ = 70.7°, I 100
2θ = 80.7°, I 70
2θ = 85.9°, I 91